# LaTlAs2O8
Simulated X-ray powder pattern, Cu Ka. Input: a crystal structure in Alexandria, relaxed with PBE.
Kinematic intensities with the Lorentz-polarization factor, no thermal factor.

Crystal structure
```
data_LaTlAs2O8
_cell_length_a 7.4363
_cell_length_b 7.4363
_cell_length_c 6.4451
_cell_angle_alpha 90.00
_cell_angle_beta 90.00
_cell_angle_gamma 90.00
_space_group_name_H-M_alt 'I -4 m 2'
_space_group_IT_number 119
_space_group_name_Hall 'I -4 -2'
loop_
_atom_site_label
_atom_site_type_symbol
_atom_site_fract_x
_atom_site_fract_y
_atom_site_fract_z
La1 La 0.0000 0.0000 0.0000
Tl1 Tl 0.0000 0.5000 0.7500
As1 As 0.0000 0.0000 0.5000
As2 As 0.0000 0.5000 0.2500
O1 O 0.0000 0.1782 0.6722
O2 O 0.0000 0.3258 0.0727
```

Most intense lines, 2θ from 10° to 90°, in order of rising 2θ:
2θ = 18.21°, I 22, hkl 1 0 1; 2θ = 23.93°, I 100, hkl 2 0 0; 2θ = 32.59°, I 70, hkl 1 1 2; 2θ = 34.10°, I 25, hkl 2 2 0; 2θ = 47.89°, I 60, hkl 3 1 2; 2θ = 49.00°, I 15, hkl 4 0 0; 2θ = 55.24°, I 15, hkl 4 2 0; 2θ = 60.09°, I 18, hkl 3 3 2; 2θ = 62.86°, I 12, hkl 2 0 4; 2θ = 70.93°, I 16, hkl 5 1 2